Structure and simulated X-ray powder pattern of K7Fe5O16 (a DFT-relaxed cell (PBE+U, Alexandria); a wavelength of 1.5418 Å).
Intensities are scaled so that the largest is 100.

Structural model:
Unit cell a=9.3855 b=5.7348 c=10.6501 alpha=90.00 beta=91.10 gamma=90.00
Space group Pm (No. 6)
One atom of each set of equivalent atoms:
K: 0.0000 0.0000 0.0000 x1
K: 0.0120 0.5000 0.2510 x1
K: 0.1936 0.0000 0.4947 x1
K: 0.3852 0.5000 0.9757 x1
K: 0.5465 0.5000 0.4240 x1
K: 0.5868 0.0000 0.7267 x1
K: 0.9252 0.5000 0.6839 x1
Fe: 0.2873 0.5000 0.6342 x1
Fe: 0.3120 0.0000 0.1621 x1
Fe: 0.6611 0.0000 0.1505 x1
Fe: 0.7747 0.5000 0.9888 x1
Fe: 0.7876 0.0000 0.4439 x1
O: 0.1570 0.5000 0.5237 x1
O: 0.2121 0.5000 0.7732 x1
O: 0.2129 0.2339 0.1234 x2
O: 0.3670 0.0000 0.3102 x1
O: 0.3885 0.2663 0.6142 x2
O: 0.4789 0.0000 0.0739 x1
O: 0.6507 0.0000 0.3303 x1
O: 0.6616 0.5000 0.8586 x1
O: 0.7645 0.2337 0.5333 x2
O: 0.7675 0.2531 0.1023 x2
O: 0.9421 0.0000 0.3720 x1
O: 0.9433 0.5000 0.9276 x1

Most intense lines, 15 to 90 degrees two-theta, sorted by position:
| 2theta | I/Imax | hkl |
| --- | --- | --- |
| 16.65 | 59 | 0 0 2 |
| 17.57 | 100 | 0 1 1 |
| 18.95 | 59 | 2 0 0 |
| 24.57 | 75 | 1 1 -2 |
| 24.84 | 65 | 1 1 2 |
| 26.04 | 61 | 2 1 1 |
| 29.60 | 88 | 0 1 3 |
| 31.20 | 92 | 0 2 0 |